Structure and computed X-ray powder pattern of VZnCr2O6 (a PBE+U-relaxed structure; Cu Kα).

Cell: 5.0657 5.1139 5.4645 Å, 90.88 117.22 119.29°
Space group P1 (No. 1)
Unique sites:
V 0.0000 0.0000 0.0000 (multiplicity 1)
Zn 0.9557 0.4796 0.4447 (multiplicity 1)
Cr 0.3965 0.6922 0.0905 (multiplicity 1)
Cr 0.4064 0.2012 0.6037 (multiplicity 1)
O 0.2220 0.4032 0.3048 (multiplicity 1)
O 0.2256 0.2869 0.8299 (multiplicity 1)
O 0.4820 0.0783 0.2968 (multiplicity 1)
O 0.5502 0.9260 0.8242 (multiplicity 1)
O 0.9048 0.6051 0.8071 (multiplicity 1)
O 0.9060 0.8164 0.3034 (multiplicity 1)

Main lines, sorted by position (2θ from 5° to 70°):
d [Å], 2theta, I/Imax, hkl
2.734, 32.76, 100, 1 -1 1
2.718, 32.95, 47, 1 0 -2
2.572, 34.88, 40, 1 1 -1
2.556, 35.10, 39, 1 -2 0
2.533, 35.44, 35, -2 1 1
1.878, 48.48, 20, 0 2 -2
1.869, 48.72, 20, 2 0 0
1.721, 53.23, 20, 1 1 1
1.716, 53.39, 25, 1 1 -3
1.508, 61.48, 25, 2 1 -3